Entry 1:
Starting from a cell relaxed with PBE, the powder diffractogram of La3PmBi3 was calculated for Cu Kα (λ = 1.5418 Å).
Neutral-atom scattering factors, no anomalous dispersion.

Atomic structure:
```
data_La3PmBi3
_cell_length_a 9.8214
_cell_length_b 9.8214
_cell_length_c 9.8214
_cell_angle_alpha 90.00
_cell_angle_beta 90.00
_cell_angle_gamma 90.00
_space_group_name_H-M_alt 'P 1'
_space_group_IT_number 1
_space_group_name_Hall 'P 1'
loop_
_atom_site_label
_atom_site_fract_x
_atom_site_fract_y
_atom_site_fract_z
_atom_site_occupancy
La1 0.0689 0.4311 0.5689 1
La2 0.1772 0.8228 0.3228 1
La3 0.1780 0.1780 0.1780 1
La4 0.3220 0.8220 0.6780 1
La5 0.3228 0.1772 0.8228 1
La6 0.4311 0.5689 0.0689 1
La7 0.5689 0.0689 0.4311 1
La8 0.6772 0.6772 0.6772 1
La9 0.6780 0.3220 0.8220 1
La10 0.8220 0.6780 0.3220 1
La11 0.8228 0.3228 0.1772 1
La12 0.9311 0.9311 0.9311 1
Pm1 0.0714 0.5714 0.9286 1
Pm2 0.4286 0.4286 0.4286 1
Pm3 0.5714 0.9286 0.0714 1
Pm4 0.9286 0.0714 0.5714 1
Bi1 0.0009 0.2535 0.8715 1
Bi2 0.1285 0.5009 0.2465 1
Bi3 0.2465 0.1285 0.5009 1
Bi4 0.2535 0.8715 0.0009 1
Bi5 0.3715 0.4991 0.7465 1
Bi6 0.4991 0.7465 0.3715 1
Bi7 0.5009 0.2465 0.1285 1
Bi8 0.6285 0.9991 0.7535 1
Bi9 0.7465 0.3715 0.4991 1
Bi10 0.7535 0.6285 0.9991 1
Bi11 0.8715 0.0009 0.2535 1
Bi12 0.9991 0.7535 0.6285 1
```

Most intense lines, 10° ≤ 2θ ≤ 90°, by angle:
- 22.17°, I 15
- 28.74°, I 100
- 34.16°, I 64
- 41.10°, I 21
- 43.21°, I 15
- 45.23°, I 12
- 47.19°, I 21
- 57.88°, I 32
- 61.15°, I 15
- 70.45°, I 21

Entry 2:
Starting from a cell relaxed with PBE, the powder diffractogram of Tb7SmHo3 was calculated for Cu Kα (λ = 1.5418 Å).
Neutral-atom scattering factors, no anomalous dispersion.

Atomic structure:
```
data_Tb7SmHo3
_cell_length_a 6.9656
_cell_length_b 5.5475
_cell_length_c 9.8825
_cell_angle_alpha 90.00
_cell_angle_beta 110.03
_cell_angle_gamma 90.00
_space_group_name_H-M_alt 'P 1'
_space_group_IT_number 1
_space_group_name_Hall 'P 1'
loop_
_atom_site_label
_atom_site_fract_x
_atom_site_fract_y
_atom_site_fract_z
_atom_site_occupancy
Tb1 0.0000 0.0000 0.0000 1
Tb2 0.1466 0.5000 0.2905 1
Tb3 0.3239 0.5000 0.6423 1
Tb4 0.4207 0.0000 0.8312 1
Tb5 0.5793 0.0000 0.1688 1
Tb6 0.6761 0.5000 0.3577 1
Tb7 0.8534 0.5000 0.7095 1
Sm1 0.0000 0.0000 0.5000 1
Ho1 0.2781 0.5000 0.9981 1
Ho2 0.5000 0.0000 0.5000 1
Ho3 0.7219 0.5000 0.0019 1
```

Most intense lines, 10° ≤ 2θ ≤ 90°, by angle:
- 31.61°, I 27
- 31.77°, I 100
- 31.93°, I 85
- 32.28°, I 88
- 33.15°, I 69
- 46.06°, I 16
- 46.31°, I 16
- 52.56°, I 15
- 57.23°, I 20
- 63.05°, I 23

Entry 3:
Starting from a cell relaxed with PBE, the powder diffractogram of LaDyCd6 was calculated for Cu Kα (λ = 1.5418 Å).
Neutral-atom scattering factors, no anomalous dispersion.

Atomic structure:
```
data_LaDyCd6
_cell_length_a 4.9459
_cell_length_b 6.6730
_cell_length_c 6.6730
_cell_angle_alpha 65.74
_cell_angle_beta 90.00
_cell_angle_gamma 90.00
_space_group_name_H-M_alt 'P 1'
_space_group_IT_number 1
_space_group_name_Hall 'P 1'
loop_
_atom_site_label
_atom_site_fract_x
_atom_site_fract_y
_atom_site_fract_z
_atom_site_occupancy
La1 0.0000 0.0000 0.0000 1
Dy1 0.5000 0.7198 0.7198 1
Cd1 0.0000 0.0499 0.4845 1
Cd2 0.0000 0.4845 0.0499 1
Cd3 0.0000 0.5363 0.5363 1
Cd4 0.5000 0.1941 0.1941 1
Cd5 0.5000 0.2402 0.6633 1
Cd6 0.5000 0.6633 0.2402 1
```

Most intense lines, 10° ≤ 2θ ≤ 90°, by angle:
- 29.36°, I 13
- 31.94°, I 19
- 32.48°, I 11
- 34.62°, I 100
- 36.33°, I 29
- 36.87°, I 24
- 49.14°, I 11
- 55.33°, I 10
- 64.26°, I 16
- 68.00°, I 12